Calculated powder X-ray diffraction pattern of KLiMnPCO7 for copper Kα, from a cell relaxed with GGA+U.
Intensities are scaled so that the largest is 100.

Main lines, sorted by position (15 to 90 degrees two-theta):
16.5 deg, 5.359 Å, rel. 62, hkl 0 1 1; 19.3 deg, 4.606 Å, rel. 51, hkl 1 0 1; 22.3 deg, 3.981 Å, rel. 86, hkl 1 1 0; 24.4 deg, 3.650 Å, rel. 100, hkl 1 0 2; 27.9 deg, 3.194 Å, rel. 84, hkl 1 1 -2; 28.6 deg, 3.116 Å, rel. 99, hkl 0 2 0; 31.1 deg, 2.873 Å, rel. 45, hkl 1 0 3; 34.7 deg, 2.588 Å, rel. 73, hkl 2 0 0; 45.6 deg, 1.990 Å, rel. 43, hkl 0 1 5; 46.4 deg, 1.958 Å, rel. 42, hkl 1 0 -5

Structural model:
```
data_KLiMnPCO7
_cell_length_a 5.1751
_cell_length_b 6.2328
_cell_length_c 10.4959
_cell_angle_alpha 90.00
_cell_angle_beta 91.08
_cell_angle_gamma 90.00
_space_group_name_H-M_alt 'P 1'
_space_group_IT_number 1
loop_
_space_group_symop_operation_xyz
'x,y,z'
loop_
_atom_site_label
_atom_site_fract_x
_atom_site_fract_y
_atom_site_fract_z
K1 0.2067 0.0000 0.2323
K2 0.7933 0.5000 0.7677
Li1 0.1798 0.5303 0.0716
Li2 0.8202 0.0303 0.9284
Mn1 0.2268 0.0995 0.6312
Mn2 0.7732 0.5995 0.3688
P1 0.3138 0.6045 0.5589
P2 0.6862 0.1045 0.4411
C1 0.2654 0.1750 0.9035
C2 0.7346 0.6750 0.0965
O1 0.1041 0.1100 0.8104
O2 0.1507 0.2321 0.0069
O3 0.1603 0.6097 0.4339
O4 0.2569 0.4092 0.6478
O5 0.2570 0.7940 0.6516
O6 0.3895 0.1021 0.4676
O7 0.4923 0.6781 0.1128
O8 0.5077 0.1781 0.8872
O9 0.6105 0.6021 0.5324
O10 0.7430 0.2940 0.3484
O11 0.7431 0.9092 0.3522
O12 0.8397 0.1097 0.5661
O13 0.8493 0.7321 0.9931
O14 0.8959 0.6100 0.1896
```